Starting from a DFT-relaxed cell (GGA-PBE, Alexandria), the powder diffraction line list of Ac2Zn5Ni5 was calculated for Cu Kα.

Top 10 peaks for 10° ≤ 2θ ≤ 90°, sorted by position:
Position (°2θ), I (rel.)
29.1, 100
33.2, 18
33.4, 37
38.6, 43
38.9, 19
40.1, 51
40.3, 97
44.4, 33
60.3, 23
64.1, 24

Crystal structure
Unit cell a=4.079 b=5.394 c=9.265 alpha=90.00 beta=90.00 gamma=90.00
Fractional positions:
Ac 0.000 0.000 0.000
Ac 0.000 0.500 0.500
Zn 0.500 0.000 0.500
Zn 0.500 0.255 0.244
Zn 0.500 0.255 0.756
Zn 0.500 0.745 0.244
Zn 0.500 0.745 0.756
Ni 0.000 0.000 0.333
Ni 0.000 0.000 0.667
Ni 0.000 0.500 0.157
Ni 0.000 0.500 0.843
Ni 0.500 0.500 0.000


Starting from a DFT-relaxed cell (GGA-PBE, Alexandria), the powder diffraction line list of Mn24Pt5 was calculated for Cu Kα.

Top 10 peaks for 10° ≤ 2θ ≤ 90°, sorted by position:
Position (°2θ), I (rel.)
14.3, 13
24.9, 18
28.8, 7
38.4, 16
43.8, 100
48.7, 10
51.0, 11
65.7, 11
76.9, 9
80.5, 23

Crystal structure
Unit cell a=7.592 b=7.592 c=7.592 alpha=109.47 beta=109.47 gamma=109.47
Fractional positions:
Mn 0.000 0.331 0.620
Mn 0.000 0.620 0.331
Mn 0.000 0.624 0.804
Mn 0.000 0.804 0.624
Mn 0.180 0.376 0.376
Mn 0.196 0.196 0.820
Mn 0.196 0.820 0.196
Mn 0.288 0.669 0.669
Mn 0.331 0.000 0.620
Mn 0.331 0.620 0.000
Mn 0.376 0.180 0.376
Mn 0.376 0.376 0.180
Mn 0.380 0.380 0.712
Mn 0.380 0.712 0.380
Mn 0.620 0.000 0.331
Mn 0.620 0.331 0.000
Mn 0.624 0.000 0.804
Mn 0.624 0.804 0.000
Mn 0.669 0.288 0.669
Mn 0.669 0.669 0.288
Mn 0.712 0.380 0.380
Mn 0.804 0.000 0.624
Mn 0.804 0.624 0.000
Mn 0.820 0.196 0.196
Pt 0.000 0.000 0.000
Pt 0.000 0.000 0.368
Pt 0.000 0.368 0.000
Pt 0.368 0.000 0.000
Pt 0.632 0.632 0.632


Starting from a DFT-relaxed cell (GGA-PBE, Alexandria), the powder diffraction line list of Ho4Mg2Tl was calculated for Cu Kα.

Top 10 peaks for 10° ≤ 2θ ≤ 90°, sorted by position:
Position (°2θ), I (rel.)
19.8, 15
24.1, 45
26.3, 20
31.5, 20
34.1, 100
34.5, 87
49.3, 32
61.0, 19
61.3, 33
82.1, 15

Crystal structure
Unit cell a=8.982 b=8.982 c=8.982 alpha=34.06 beta=34.06 gamma=34.06
Fractional positions:
Ho 0.115 0.115 0.115
Ho 0.370 0.370 0.370
Ho 0.630 0.630 0.630
Ho 0.885 0.885 0.885
Mg 0.246 0.246 0.246
Mg 0.754 0.754 0.754
Tl 0.500 0.500 0.500


Starting from a DFT-relaxed cell (GGA-PBE, Alexandria), the powder diffraction line list of RbIn4Sb2 was calculated for Cu Kα.

Top 10 peaks for 10° ≤ 2θ ≤ 90°, sorted by position:
Position (°2θ), I (rel.)
13.3, 20
27.3, 47
30.0, 19
32.0, 45
34.8, 100
39.4, 21
51.7, 11
53.6, 17
62.4, 16
72.6, 12

Crystal structure
Unit cell a=9.420 b=9.420 c=5.154 alpha=90.00 beta=90.00 gamma=90.00
Fractional positions:
Rb 0.000 0.000 0.000
Rb 0.500 0.500 0.500
In 0.086 0.352 0.500
In 0.148 0.586 0.000
In 0.352 0.086 0.500
In 0.414 0.852 0.000
In 0.586 0.148 0.000
In 0.648 0.914 0.500
In 0.852 0.414 0.000
In 0.914 0.648 0.500
Sb 0.218 0.782 0.500
Sb 0.282 0.282 0.000
Sb 0.718 0.718 0.000
Sb 0.782 0.218 0.500


Starting from a DFT-relaxed cell (GGA-PBE, Alexandria), the powder diffraction line list of BaPtSe was calculated for Cu Kα.

Top 10 peaks for 10° ≤ 2θ ≤ 90°, sorted by position:
Position (°2θ), I (rel.)
10.3, 100
19.8, 62
24.7, 67
27.6, 48
31.4, 74
36.9, 47
37.9, 57
38.7, 41
38.8, 40
54.5, 31

Crystal structure
Unit cell a=4.656 b=4.637 c=8.885 alpha=90.00 beta=105.11 gamma=90.00
Fractional positions:
Ba 0.000 0.000 0.000
Ba 0.266 0.000 0.537
Pt 0.626 0.000 0.253
Pt 0.711 0.500 0.426
Se 0.568 0.500 0.136
Se 0.852 0.500 0.714


Starting from a DFT-relaxed cell (GGA-PBE, Alexandria), the powder diffraction line list of NdPb2F11 was calculated for Cu Kα.

Top 10 peaks for 10° ≤ 2θ ≤ 90°, sorted by position:
Position (°2θ), I (rel.)
16.0, 47
21.3, 93
21.9, 62
23.6, 78
25.0, 100
28.2, 31
43.4, 48
45.8, 42
48.0, 33
48.4, 40

Crystal structure
Unit cell a=8.579 b=8.579 c=8.579 alpha=123.85 beta=105.97 gamma=99.67
Fractional positions:
Nd 0.250 0.250 0.000
Nd 0.750 0.750 0.000
Pb 0.182 0.639 0.821
Pb 0.318 0.139 0.458
Pb 0.682 0.861 0.542
Pb 0.818 0.361 0.179
F 0.000 0.500 0.500
F 0.041 0.959 0.281
F 0.060 0.365 0.158
F 0.178 0.459 0.918
F 0.206 0.902 0.842
F 0.213 0.372 0.584
F 0.287 0.872 0.159
F 0.294 0.135 0.695
F 0.322 0.240 0.281
F 0.440 0.598 0.305
F 0.459 0.740 0.918
F 0.500 0.000 0.500
F 0.541 0.260 0.082
F 0.560 0.402 0.695
F 0.678 0.760 0.719
F 0.706 0.865 0.305
F 0.713 0.128 0.841
F 0.787 0.628 0.416
F 0.794 0.098 0.158
F 0.822 0.541 0.082
F 0.940 0.635 0.842
F 0.959 0.041 0.719


What did the fifth record say?
Starting from a DFT-relaxed cell (GGA-PBE, Alexandria), the powder diffraction line list of BaPtSe was calculated for Cu Kα.

Top 10 peaks for 10° ≤ 2θ ≤ 90°, sorted by position:
Position (°2θ), I (rel.)
10.3, 100
19.8, 62
24.7, 67
27.6, 48
31.4, 74
36.9, 47
37.9, 57
38.7, 41
38.8, 40
54.5, 31

Crystal structure
Unit cell a=4.656 b=4.637 c=8.885 alpha=90.00 beta=105.11 gamma=90.00
Fractional positions:
Ba 0.000 0.000 0.000
Ba 0.266 0.000 0.537
Pt 0.626 0.000 0.253
Pt 0.711 0.500 0.426
Se 0.568 0.500 0.136
Se 0.852 0.500 0.714


Which formula does entry 2 have?
Mn24Pt5